Diffraction record for Na2CoSe2O8. The powder X-ray diffraction pattern is calculated, not measured: it uses DFT lattice parameters and positions (PBE+U) and Cu Ka.
No peak broadening, texture or thermal motion is included.

Principal peaks in the range 10° ≤ 2θ ≤ 90°, low angle first:
index, 2θ (°), d (Å), I (rel.)
0 0 1, 13.16, 6.726, 66
0 1 1, 18.30, 4.848, 100
0 1 2, 27.31, 3.266, 93
1 1 -1, 27.60, 3.232, 58
1 -1 0, 29.39, 3.039, 65
1 0 -2, 33.31, 2.690, 44

abc: 4.8614 5.8285 7.0258
angles: 73.23 83.73 70.96
Sites, in units of the cell vectors:
Na 0.2028 0.2372 0.1770
Na 0.7972 0.7628 0.8230
Co 0.5000 0.5000 0.5000
Se 0.1249 0.1751 0.7136
Se 0.8751 0.8249 0.2864
O 0.1489 0.3702 0.8381
O 0.2220 0.8016 0.3257
O 0.2749 0.2712 0.4871
O 0.2796 0.8750 0.8264
O 0.7204 0.1250 0.1736
O 0.7251 0.7288 0.5129
O 0.7780 0.1984 0.6743
O 0.8511 0.6298 0.1619